1.
For NaGa2Rh, a DFT-relaxed cell (PBE, Alexandria) gives the calculated powder diffractogram in this record (Cu Kα X-rays).
Lines closer than 0.1° are merged.

Structure:
a = 4.2884 Å, b = 4.2884 Å, c = 16.2762 Å
α = 90.00°, β = 90.00°, γ = 120.00°
Space group R3m (No. 160, hexagonal axes)
Inequivalent atoms, fractional coordinates:
Na  0.0000  0.0000  0.0000 x3
Ga  0.0000  0.0000  0.5401 x3
Ga  0.0000  0.0000  0.8068 x3
Rh  0.0000  0.0000  0.1813 x3

Most intense lines, 10 to 90 degrees two-theta, by angle:
- 2θ 16.34, 5.425 Å, I 100, hkl 0 0 3
- 2θ 26.38, 3.379 Å, I 14, hkl 0 1 2
- 2θ 33.02, 2.713 Å, I 13, hkl 0 0 6
- 2θ 36.71, 2.448 Å, I 39, hkl 0 1 5
- 2θ 42.14, 2.144 Å, I 51, hkl 1 1 0
- 2θ 45.49, 1.994 Å, I 43, hkl 1 1 3
- 2θ 51.20, 1.784 Å, I 17, hkl 0 1 8
- 2θ 54.55, 1.682 Å, I 18, hkl 1 1 6

2.
For Na8GaS6, a DFT-relaxed cell (PBE, Alexandria) gives the calculated powder diffractogram in this record (Cu Kα X-rays).
Lines closer than 0.1° are merged.

Structure:
a = 7.628 Å, b = 8.140 Å, c = 11.849 Å
α = 90.00°, β = 90.00°, γ = 90.00°
Space group Pmn2_1 (No. 31)
Inequivalent atoms, fractional coordinates:
Na  0.000  0.135  0.000 x2
Na  0.000  0.238  0.439 x2
Na  0.206  0.571  0.790 x4
Na  0.215  0.715  0.111 x4
Na  0.219  0.944  0.769 x4
Ga  0.000  0.746  0.488 x2
S  0.000  0.257  0.217 x2
S  0.000  0.507  0.592 x2
S  0.000  0.784  0.931 x2
S  0.000  0.988  0.587 x2
S  0.215  0.746  0.349 x4

Most intense lines, 10 to 90 degrees two-theta, by angle:
- 2θ 13.81, 6.414 Å, I 73, hkl 1 0 1
- 2θ 21.88, 4.062 Å, I 85, hkl 0 2 0
- 2θ 25.93, 3.437 Å, I 47, hkl 1 2 1
- 2θ 26.57, 3.355 Å, I 39, hkl 0 2 2
- 2θ 26.89, 3.316 Å, I 48, hkl 2 1 1
- 2θ 27.82, 3.207 Å, I 100, hkl 2 0 2
- 2θ 41.55, 2.173 Å, I 41, hkl 2 3 1
- 2θ 44.68, 2.028 Å, I 87, hkl 2 2 4

3.
For Na4Ga2S5, a DFT-relaxed cell (PBE, Alexandria) gives the calculated powder diffractogram in this record (Cu Kα X-rays).
Lines closer than 0.1° are merged.

Structure:
a = 8.043 Å, b = 6.163 Å, c = 20.098 Å
α = 90.00°, β = 91.44°, γ = 90.00°
Space group P2_1/c (No. 14)
Inequivalent atoms, fractional coordinates:
Na  0.076  0.243  0.044 x4
Na  0.109  0.001  0.702 x4
Na  0.345  0.525  0.783 x4
Na  0.402  0.543  0.603 x4
Ga  0.167  0.066  0.865 x4
Ga  0.346  0.586  0.963 x4
S  0.091  0.023  0.173 x4
S  0.135  0.071  0.402 x4
S  0.258  0.564  0.470 x4
S  0.369  0.014  0.792 x4
S  0.388  0.024  0.574 x4

Most intense lines, 10 to 90 degrees two-theta, by angle:
- 2θ 13.93, 6.356 Å, I 100, hkl 1 0 -2
- 2θ 18.74, 4.736 Å, I 43, hkl 1 1 1
- 2θ 19.58, 4.535 Å, I 69, hkl 0 1 3
- 2θ 26.47, 3.367 Å, I 30, hkl 2 1 0
- 2θ 28.98, 3.081 Å, I 87, hkl 0 2 0
- 2θ 30.38, 2.942 Å, I 29, hkl 0 1 6
- 2θ 34.44, 2.604 Å, I 75, hkl 2 0 -6
- 2θ 35.31, 2.542 Å, I 51, hkl 2 0 6

4.
For Na2GaSbS4, a DFT-relaxed cell (PBE, Alexandria) gives the calculated powder diffractogram in this record (Cu Kα X-rays).
Lines closer than 0.1° are merged.

Structure:
a = 9.238 Å, b = 7.518 Å, c = 6.025 Å
α = 90.00°, β = 90.00°, γ = 90.00°
Space group Pmn2_1 (No. 31)
Inequivalent atoms, fractional coordinates:
Na  0.242  0.171  0.000 x4
Ga  0.000  0.352  0.541 x2
Sb  0.000  0.701  0.020 x2
S  0.000  0.386  0.930 x2
S  0.000  0.650  0.429 x2
S  0.210  0.202  0.473 x4

Most intense lines, 10 to 90 degrees two-theta, by angle:
- 2θ 18.88, 4.701 Å, I 100, hkl 0 1 1
- 2θ 19.22, 4.619 Å, I 49, hkl 2 0 0
- 2θ 22.59, 3.935 Å, I 81, hkl 2 1 0
- 2θ 23.67, 3.759 Å, I 55, hkl 0 2 0
- 2θ 27.06, 3.295 Å, I 58, hkl 2 1 1
- 2θ 29.65, 3.013 Å, I 88, hkl 0 0 2
- 2θ 38.99, 2.310 Å, I 48, hkl 4 0 0
- 2θ 40.97, 2.203 Å, I 59, hkl 2 3 0

5.
For Na2TbGaS4, a DFT-relaxed cell (PBE, Alexandria) gives the calculated powder diffractogram in this record (Cu Kα X-rays).
Lines closer than 0.1° are merged.

Structure:
a = 7.557 Å, b = 8.011 Å, c = 11.149 Å
α = 90.00°, β = 90.00°, γ = 90.00°
Space group Imma (No. 74)
Inequivalent atoms, fractional coordinates:
Na  0.000  0.000  0.000 x4
Na  0.250  0.250  0.250 x4
Tb  0.000  0.000  0.500 x4
Ga  0.250  0.250  0.750 x4
S  0.000  0.039  0.748 x8
S  0.244  0.250  0.510 x8

Most intense lines, 10 to 90 degrees two-theta, by angle:
- 2θ 13.61, 6.506 Å, I 25, hkl 0 1 1
- 2θ 14.16, 6.256 Å, I 82, hkl 1 0 1
- 2θ 26.42, 3.373 Å, I 38, hkl 1 2 1
- 2θ 27.42, 3.253 Å, I 22, hkl 0 2 2
- 2θ 32.11, 2.787 Å, I 54, hkl 0 0 4
- 2θ 32.58, 2.749 Å, I 100, hkl 2 2 0
- 2θ 46.40, 1.957 Å, I 70, hkl 2 2 4
- 2θ 48.19, 1.889 Å, I 24, hkl 4 0 0

6.
For Na3GaSb3, a DFT-relaxed cell (PBE, Alexandria) gives the calculated powder diffractogram in this record (Cu Kα X-rays).
Lines closer than 0.1° are merged.

Structure:
a = 11.805 Å, b = 4.910 Å, c = 14.490 Å
α = 90.00°, β = 107.91°, γ = 90.00°
Space group C2/m (No. 12)
Inequivalent atoms, fractional coordinates:
Na  0.016  0.000  0.378 x4
Na  0.103  0.000  0.918 x4
Na  0.212  0.000  0.211 x4
Ga  0.213  0.500  0.399 x4
Sb  0.007  0.500  0.235 x4
Sb  0.112  0.500  0.074 x4
Sb  0.153  0.500  0.570 x4

Most intense lines, 10 to 90 degrees two-theta, by angle:
- 2θ 15.09, 5.870 Å, I 29, hkl 2 0 -1
- 2θ 19.73, 4.499 Å, I 100, hkl 1 1 0
- 2θ 23.30, 3.817 Å, I 38, hkl 2 0 2
- 2θ 25.84, 3.448 Å, I 38, hkl 2 0 -4
- 2θ 30.67, 2.915 Å, I 34, hkl 1 1 -4
- 2θ 34.66, 2.588 Å, I 58, hkl 3 1 -4
- 2θ 35.65, 2.518 Å, I 74, hkl 3 1 2
- 2θ 36.60, 2.455 Å, I 44, hkl 0 2 0

7.
For NaGa2Se3, a DFT-relaxed cell (PBE, Alexandria) gives the calculated powder diffractogram in this record (Cu Kα X-rays).
Lines closer than 0.1° are merged.

Structure:
a = 22.481 Å, b = 3.996 Å, c = 7.403 Å
α = 90.00°, β = 99.29°, γ = 90.00°
Space group C2/m (No. 12)
Inequivalent atoms, fractional coordinates:
Na  0.162  0.000  0.433 x4
Ga  0.040  0.500  0.698 x4
Ga  0.191  0.000  0.923 x4
Se  0.070  0.500  0.399 x4
Se  0.073  0.000  0.894 x4
Se  0.227  0.500  0.740 x4

Most intense lines, 10 to 90 degrees two-theta, by angle:
- 2θ 13.39, 6.611 Å, I 81, hkl 2 0 -1
- 2θ 25.39, 3.508 Å, I 100, hkl 1 1 -1
- 2θ 26.04, 3.422 Å, I 29, hkl 1 1 1
- 2θ 26.93, 3.310 Å, I 49, hkl 2 0 2
- 2θ 33.97, 2.639 Å, I 36, hkl 1 1 2
- 2θ 43.13, 2.097 Å, I 59, hkl 1 1 -3
- 2θ 45.39, 1.998 Å, I 37, hkl 0 2 0
- 2θ 46.65, 1.947 Å, I 29, hkl 9 1 1

8.
For Na2ZrGaSe5, a DFT-relaxed cell (PBE, Alexandria) gives the calculated powder diffractogram in this record (Cu Kα X-rays).
Lines closer than 0.1° are merged.

Structure:
a = 3.695 Å, b = 18.635 Å, c = 13.836 Å
α = 90.00°, β = 90.00°, γ = 90.00°
Space group Cmc2_1 (No. 36)
Inequivalent atoms, fractional coordinates:
Na  0.000  0.098  0.000 x4
Na  0.000  0.124  0.666 x4
Zr  0.000  0.219  0.383 x4
Ga  0.000  0.430  0.769 x4
Se  0.000  0.060  0.383 x4
Se  0.000  0.287  0.019 x4
Se  0.000  0.300  0.737 x4
Se  0.000  0.355  0.343 x4
Se  0.000  0.495  0.621 x4

Most intense lines, 10 to 90 degrees two-theta, by angle:
- 2θ 11.45, 7.729 Å, I 37, hkl 0 2 1
- 2θ 12.80, 6.918 Å, I 39, hkl 0 0 2
- 2θ 27.79, 3.211 Å, I 26, hkl 1 1 2
- 2θ 29.48, 3.030 Å, I 62, hkl 0 6 1
- 2θ 31.39, 2.850 Å, I 100, hkl 1 1 3
- 2θ 36.63, 2.454 Å, I 24, hkl 1 5 2
- 2θ 49.32, 1.848 Å, I 23, hkl 2 0 0
- 2θ 49.77, 1.832 Å, I 50, hkl 1 7 4

9.
For NaGa2Si2, a DFT-relaxed cell (PBE, Alexandria) gives the calculated powder diffractogram in this record (Cu Kα X-rays).
Lines closer than 0.1° are merged.

Structure:
a = 4.510 Å, b = 4.510 Å, c = 9.754 Å
α = 90.00°, β = 90.00°, γ = 90.00°
Space group I4/mmm (No. 139)
Inequivalent atoms, fractional coordinates:
Na  0.000  0.000  0.000 x2
Ga  0.000  0.500  0.250 x4
Si  0.000  0.000  0.379 x4

Most intense lines, 10 to 90 degrees two-theta, by angle:
- 2θ 18.19, 4.877 Å, I 54, hkl 0 0 2
- 2θ 33.58, 2.669 Å, I 100, hkl 1 1 2
- 2θ 39.98, 2.255 Å, I 53, hkl 2 0 0
- 2θ 44.25, 2.047 Å, I 22, hkl 2 0 2
- 2θ 46.90, 1.937 Å, I 41, hkl 1 1 4
- 2θ 57.83, 1.595 Å, I 17, hkl 2 2 0
- 2θ 68.55, 1.369 Å, I 23, hkl 3 1 2
- 2θ 77.54, 1.231 Å, I 18, hkl 3 1 4

10.
For Na6GaSi2, a DFT-relaxed cell (PBE, Alexandria) gives the calculated powder diffractogram in this record (Cu Kα X-rays).
Lines closer than 0.1° are merged.

Structure:
a = 5.2620 Å, b = 5.2620 Å, c = 28.3294 Å
α = 90.00°, β = 90.00°, γ = 120.00°
Space group R-3m (No. 166, hexagonal axes)
Inequivalent atoms, fractional coordinates:
Na  0.0000  0.0000  0.0765 x6
Na  0.0000  0.0000  0.2021 x6
Na  0.0000  0.0000  0.3103 x6
Ga  0.0000  0.0000  0.5000 x3
Si  0.0000  0.0000  0.4159 x6

Most intense lines, 10 to 90 degrees two-theta, by angle:
- 2θ 19.73, 4.499 Å, I 38, hkl 1 0 1
- 2θ 20.47, 4.338 Å, I 14, hkl 0 1 2
- 2θ 29.52, 3.026 Å, I 16, hkl 1 0 7
- 2θ 34.08, 2.631 Å, I 100, hkl 1 1 0
- 2θ 37.38, 2.406 Å, I 39, hkl 1 0 10
- 2θ 51.47, 1.775 Å, I 15, hkl 0 2 10
- 2θ 61.00, 1.519 Å, I 17, hkl 3 0 0
- 2θ 63.18, 1.472 Å, I 15, hkl 2 1 10

11.
For Na4Ga4Si19, a DFT-relaxed cell (PBE, Alexandria) gives the calculated powder diffractogram in this record (Cu Kα X-rays).
Lines closer than 0.1° are merged.

Structure:
a = 10.388 Å, b = 10.411 Å, c = 10.420 Å
α = 89.96°, β = 89.88°, γ = 89.78°
Space group P1 (No. 1)
Inequivalent atoms, fractional coordinates:
Na  0.000  0.000  0.000 x1
Na  0.001  0.028  0.520 x1
Na  0.028  0.505  0.253 x1
Na  0.272  0.478  0.768 x1
Na  0.511  0.750  0.283 x1
Na  0.527  0.258  0.264 x1
Na  0.528  0.013  0.750 x1
Na  0.768  0.477  0.773 x1
Ga  0.022  0.389  0.950 x1
Ga  0.023  0.755  0.758 x1
Ga  0.334  0.505  0.375 x1
Ga  0.406  0.006  0.445 x1
Ga  0.524  0.506  0.007 x1
Ga  0.525  0.315  0.640 x1
Ga  0.778  0.004  0.256 x1
Ga  0.832  0.124  0.761 x1
Si  0.024  0.385  0.560 x1
Si  0.024  0.626  0.954 x1
Si  0.025  0.619  0.563 x1
Si  0.028  0.258  0.754 x1
Si  0.142  0.199  0.255 x1
Si  0.143  0.811  0.258 x1
Si  0.206  0.692  0.444 x1
Si  0.207  0.317  0.440 x1
Si  0.208  0.689  0.073 x1
Si  0.211  0.322  0.074 x1
Si  0.218  0.892  0.757 x1
Si  0.219  0.126  0.758 x1
Si  0.269  0.005  0.251 x1
Si  0.329  0.506  0.139 x1
Si  0.336  0.191  0.573 x1
Si  0.337  0.822  0.575 x1
Si  0.339  0.820  0.938 x1
Si  0.341  0.189  0.943 x1
Si  0.402  0.002  0.061 x1
Si  0.524  0.309  0.878 x1
Si  0.524  0.700  0.869 x1
Si  0.524  0.703  0.637 x1
Si  0.530  0.511  0.508 x1
Si  0.636  0.002  0.065 x1
Si  0.644  0.005  0.449 x1
Si  0.703  0.188  0.950 x1
Si  0.705  0.821  0.940 x1
Si  0.709  0.824  0.573 x1
Si  0.711  0.187  0.568 x1
Si  0.718  0.509  0.145 x1
Si  0.721  0.509  0.378 x1
Si  0.827  0.886  0.758 x1
Si  0.833  0.324  0.077 x1
Si  0.840  0.320  0.438 x1
Si  0.841  0.690  0.075 x1
Si  0.844  0.691  0.442 x1
Si  0.909  0.202  0.254 x1
Si  0.911  0.809  0.258 x1

Most intense lines, 10 to 90 degrees two-theta, by angle:
- 2θ 19.08, 4.653 Å, I 68, hkl 2 0 -1
- 2θ 29.73, 3.005 Å, I 33, hkl 2 2 -2
- 2θ 30.96, 2.888 Å, I 28, hkl 2 0 3
- 2θ 32.16, 2.783 Å, I 100, hkl 3 1 2
- 2θ 32.25, 2.776 Å, I 33, hkl -3 1 2
- 2θ 39.66, 2.272 Å, I 24, hkl 2 -1 4
- 2θ 51.11, 1.787 Å, I 34, hkl 0 3 -5
- 2θ 54.26, 1.690 Å, I 25, hkl 2 3 5